Record 1
# K2NaTl4
Calculated powder XRD pattern, Cu Ka. Input: DFT lattice parameters and positions (PBE).
Neutral-atom scattering factors, no anomalous dispersion.

Atomic structure:
a = 5.2310 Å, b = 5.2310 Å, c = 11.8129 Å
α = 90.00°, β = 90.00°, γ = 120.00°
Space group P-3m1 (No. 164)
Unique sites:
K: 0.3333 0.6667 0.1253
Na: 0.0000 0.0000 0.5000
Tl: 0.3333 0.6667 0.4188
Tl: 0.3333 0.6667 0.7021

Most intense lines, 5° ≤ 2θ ≤ 70°, low angle first:
2theta  intensity  index
7.48  100  0 0 1
19.60  36  1 0 0
30.07  57  1 0 3
34.28  42  1 1 0
35.14  18  1 1 1
36.31  36  1 0 4
46.24  18  0 2 3
58.81  17  2 1 3



Record 2
# K8Na3Tl2
Calculated powder XRD pattern, Cu Ka. Input: DFT lattice parameters and positions (PBE).
Neutral-atom scattering factors, no anomalous dispersion.

Atomic structure:
a = 9.2931 Å, b = 6.4230 Å, c = 11.7755 Å
α = 90.00°, β = 106.49°, γ = 90.00°
Space group P2/m (No. 10)
Unique sites:
K: 0.0578 0.0000 0.3367
K: 0.1515 0.5000 0.9009
K: 0.3384 0.5000 0.2611
K: 0.4175 0.0000 0.8222
Na: 0.2135 0.5000 0.5641
Na: 0.5000 0.0000 0.5000
Tl: 0.1665 0.0000 0.0578

Most intense lines, 5° ≤ 2θ ≤ 70°, low angle first:
2theta  intensity  index
7.83  100  0 0 1
10.76  35  1 0 -1
13.79  33  0 1 0
15.87  36  0 1 1
26.82  64  1 1 -3
27.30  36  2 1 1
27.78  31  0 2 0
32.09  24  2 1 2



What is the formula in the second record? K8Na3Tl2